The following is a calculated powder XRD pattern of Mg4PPd3. It was derived from a DFT-relaxed cell (PBE, Alexandria), using copper Kα.

Most intense lines, 2θ from 5° to 70°, by intensity:
d = 2.285 Å, 2θ 39.4, rel. 100; d = 2.244 Å, 2θ 40.2, rel. 97; d = 3.202 Å, 2θ 27.9, rel. 79; d = 1.601 Å, 2θ 57.6, rel. 32; d = 7.533 Å, 2θ 11.7, rel. 26; d = 1.837 Å, 2θ 49.6, rel. 16; d = 1.422 Å, 2θ 65.7, rel. 13; d = 1.442 Å, 2θ 64.6, rel. 13; d = 3.830 Å, 2θ 23.2, rel. 10; d = 3.675 Å, 2θ 24.2, rel. 10

Crystal structure
abc: 7.9660 7.9660 7.9660
angles: 32.72 32.72 32.72
Atoms (fractional coordinates):
1 Mg 0.1232 0.1232 0.1232
2 Mg 0.3749 0.3749 0.3749
3 Mg 0.6251 0.6251 0.6251
4 Mg 0.8768 0.8768 0.8768
5 P 0.5000 0.5000 0.5000
6 Pd 0.0000 0.0000 0.0000
7 Pd 0.2539 0.2539 0.2539
8 Pd 0.7461 0.7461 0.7461